(1)
This entry pairs a crystal structure of Cs3Rb2Au3 with its calculated powder diffractogram. Radiation: Cu Kα. Structure: a GGA-PBE-relaxed structure.

Crystal structure
a b c (Å): 4.446 6.174 30.180
angles (deg): 90.00 90.00 90.00
Space group Immm (No. 71)
Inequivalent atoms, fractional coordinates:
1 Cs 0.000 0.000 0.000 x2
2 Cs 0.000 0.500 0.098 x4
3 Rb 0.000 0.000 0.199 x4
4 Au 0.000 0.000 0.500 x2
5 Au 0.000 0.500 0.393 x4

Top 12 peaks for 10° ≤ 2θ ≤ 80°, in order of rising 2θ:
index, 2theta, I/Imax
0 1 3, 16.85, 17
1 1 4, 27.40, 100
0 2 0, 28.91, 38
0 0 10, 29.59, 36
1 1 6, 30.49, 65
0 2 10, 41.86, 24
1 1 14, 49.24, 20
1 3 4, 50.33, 19
2 2 0, 50.60, 14
2 0 10, 51.02, 16
1 3 6, 52.25, 14
2 2 10, 59.72, 17

(2)
This entry pairs a crystal structure of Cs3Rb3Au2 with its calculated powder diffractogram. Radiation: Cu Kα. Structure: a GGA-PBE-relaxed structure.

Crystal structure
a b c (Å): 18.4899 18.4899 24.0528
angles (deg): 90.00 90.00 120.00
Space group R-3 (No. 148, hexagonal axes)
Inequivalent atoms, fractional coordinates:
1 Cs 0.0069 0.8433 0.3363 x18
2 Cs 0.0549 0.4521 0.6204 x18
3 Rb 0.0240 0.2572 0.4681 x18
4 Rb 0.0341 0.1637 0.1598 x18
5 Au 0.0000 0.0000 0.2508 x6
6 Au 0.0021 0.4879 0.2527 x18

Top 12 peaks for 10° ≤ 2θ ≤ 80°, in order of rising 2θ:
index, 2theta, I/Imax
2 0 2, 13.29, 100
2 1 4, 20.82, 26
4 -1 2, 21.33, 33
1 3 4, 24.92, 12
4 0 4, 26.75, 29
4 -2 6, 29.49, 47
4 2 2, 30.46, 39
2 0 8, 31.79, 17
2 4 4, 33.14, 23
6 0 0, 33.58, 13
5 -3 8, 38.70, 12
0 6 12, 57.52, 23

(3)
This entry pairs a crystal structure of Cs11RbAu2 with its calculated powder diffractogram. Radiation: Cu Kα. Structure: a GGA-PBE-relaxed structure.

Crystal structure
a b c (Å): 16.928 17.676 18.150
angles (deg): 90.00 90.00 90.00
Space group Ibam (No. 72)
Inequivalent atoms, fractional coordinates:
1 Cs 0.000 0.000 0.000 x4
2 Cs 0.107 0.346 0.000 x8
3 Cs 0.113 0.196 0.350 x16
4 Cs 0.242 0.067 0.128 x16
5 Rb 0.000 0.500 0.250 x4
6 Au 0.194 0.082 0.500 x8

Top 12 peaks for 10° ≤ 2θ ≤ 80°, in order of rising 2θ:
index, 2theta, I/Imax
2 0 0, 10.45, 34
1 2 1, 12.31, 45
1 2 3, 18.53, 56
2 1 3, 18.71, 100
3 2 1, 19.29, 39
4 2 0, 23.30, 60
1 4 3, 25.51, 72
1 2 5, 27.07, 37
5 1 2, 28.61, 48
6 1 3, 35.45, 32
6 0 4, 37.53, 30
7 4 1, 42.92, 27

(4)
This entry pairs a crystal structure of Cs3RbAu3 with its calculated powder diffractogram. Radiation: Cu Kα. Structure: a GGA-PBE-relaxed structure.

Crystal structure
a b c (Å): 12.238 12.495 8.607
angles (deg): 90.00 90.00 90.00
Space group Cmmm (No. 65)
Inequivalent atoms, fractional coordinates:
1 Cs 0.000 0.241 0.000 x4
2 Cs 0.241 0.000 0.000 x4
3 Cs 0.248 0.000 0.500 x4
4 Rb 0.000 0.232 0.500 x4
5 Au 0.000 0.000 0.254 x4
6 Au 0.250 0.250 0.258 x8

Top 12 peaks for 10° ≤ 2θ ≤ 80°, in order of rising 2θ:
index, 2theta, I/Imax
1 1 0, 10.12, 19
0 4 0, 28.57, 21
4 0 0, 29.13, 100
4 4 0, 41.30, 15
0 0 4, 41.99, 7
2 6 2, 50.95, 16
0 4 4, 51.58, 8
6 2 2, 51.71, 16
4 0 4, 51.96, 8
4 4 4, 60.37, 10
6 6 2, 67.91, 7
2 2 6, 68.89, 7

(5)
This entry pairs a crystal structure of CsRb9Au2 with its calculated powder diffractogram. Radiation: Cu Kα. Structure: a GGA-PBE-relaxed structure.

Crystal structure
a b c (Å): 13.1847 13.1847 5.5895
angles (deg): 90.00 90.00 120.00
Space group P6/mmm (No. 191)
Inequivalent atoms, fractional coordinates:
1 Cs 0.0000 0.0000 0.0000 x1
2 Rb 0.0000 0.5000 0.0000 x3
3 Rb 0.2190 0.4380 0.5000 x6
4 Au 0.3333 0.6667 0.0000 x2

Top 12 peaks for 10° ≤ 2θ ≤ 80°, in order of rising 2θ:
index, 2theta, I/Imax
1 1 0, 13.43, 95
1 1 1, 20.84, 85
2 0 1, 22.26, 56
2 1 1, 26.09, 100
2 2 0, 27.05, 74
3 0 1, 28.37, 95
2 2 1, 31.51, 83
0 0 2, 32.03, 40
3 3 0, 41.08, 33
2 2 2, 42.40, 44
6 0 1, 50.67, 42
3 3 2, 53.01, 31

(6)
This entry pairs a crystal structure of CsRbAu10 with its calculated powder diffractogram. Radiation: Cu Kα. Structure: a GGA-PBE-relaxed structure.

Crystal structure
a b c (Å): 4.483 5.958 10.487
angles (deg): 90.00 90.00 90.00
Space group Pmmm (No. 47)
Inequivalent atoms, fractional coordinates:
1 Cs 0.000 0.000 0.000 x1
2 Rb 0.000 0.500 0.500 x1
3 Au 0.000 0.000 0.337 x2
4 Au 0.000 0.500 0.169 x2
5 Au 0.500 0.000 0.500 x1
6 Au 0.500 0.253 0.255 x4
7 Au 0.500 0.500 0.000 x1

Top 12 peaks for 10° ≤ 2θ ≤ 80°, in order of rising 2θ:
index, 2theta, I/Imax
0 0 2, 16.91, 22
0 1 1, 17.12, 43
0 1 3, 29.63, 14
0 2 2, 34.63, 25
1 1 3, 35.89, 88
1 2 0, 36.21, 43
1 0 4, 39.83, 32
2 0 0, 40.22, 100
2 2 2, 54.11, 14
1 3 3, 57.17, 23
0 2 6, 61.51, 22
2 2 6, 76.09, 25

(7)
This entry pairs a crystal structure of Cs8Rb3Au4 with its calculated powder diffractogram. Radiation: Cu Kα. Structure: a GGA-PBE-relaxed structure.

Crystal structure
a b c (Å): 19.005 19.005 19.005
angles (deg): 90.00 90.00 90.00
Space group Fm-3m (No. 225)
Inequivalent atoms, fractional coordinates:
1 Cs 0.116 0.116 0.116 x32
2 Cs 0.159 0.159 0.341 x32
3 Rb 0.000 0.000 0.315 x24
4 Au 0.000 0.000 0.000 x4
5 Au 0.000 0.000 0.500 x4
6 Au 0.000 0.250 0.250 x24

Top 12 peaks for 10° ≤ 2θ ≤ 80°, in order of rising 2θ:
index, 2theta, I/Imax
2 2 2, 16.16, 27
3 3 3, 24.34, 33
4 4 0, 26.53, 100
6 2 2, 31.22, 35
8 0 0, 37.87, 13
6 6 2, 41.42, 11
8 4 4, 46.84, 21
9 3 3, 47.61, 11
6 6 6, 49.87, 16
10 6 2, 57.37, 19
12 8 4, 74.76, 11
10 10 6, 77.09, 11

(8)
This entry pairs a crystal structure of Cs15RbAu6 with its calculated powder diffractogram. Radiation: Cu Kα. Structure: a GGA-PBE-relaxed structure.

Crystal structure
a b c (Å): 14.867 14.867 14.867
angles (deg): 90.00 90.00 90.00
Space group Im-3m (No. 229)
Inequivalent atoms, fractional coordinates:
1 Cs 0.000 0.000 0.500 x6
2 Cs 0.000 0.242 0.242 x24
3 Rb 0.000 0.000 0.000 x2
4 Au 0.000 0.000 0.251 x12

Top 12 peaks for 10° ≤ 2θ ≤ 80°, in order of rising 2θ:
index, 2theta, I/Imax
2 1 1, 14.59, 29
2 2 2, 20.70, 14
3 2 1, 22.38, 13
4 0 0, 23.94, 100
5 2 1, 33.00, 12
4 4 0, 34.12, 79
5 3 2, 37.28, 10
4 4 4, 42.11, 29
8 0 0, 49.02, 14
8 4 0, 55.27, 38
8 4 4, 61.07, 28
12 0 0, 76.96, 17